Calculated XRD peak list
Compound: Nd2BeGePd6
Radiation: Cu Kα
Structure: a DFT-relaxed cell (PBE, Alexandria)
Neutral-atom scattering factors, no anomalous dispersion.

Peak list (6 most intense, 2θ = 10–90°, sorted by position)
| index | Position (°2θ) | I_rel |
| --- | --- | --- |
| 0 0 2 | 28.72 | 51 |
| 0 2 0 | 35.50 | 45 |
| 2 2 2 | 36.94 | 100 |
| 1 1 3 | 38.52 | 31 |
| 2 0 2 | 40.09 | 84 |
| 0 2 2 | 40.58 | 48 |

Cell and atoms:
```
data_Nd2BeGePd6
_cell_length_a 5.8141
_cell_length_b 5.9503
_cell_length_c 7.0127
_cell_angle_alpha 67.54
_cell_angle_beta 65.54
_cell_angle_gamma 60.76
_space_group_name_H-M_alt 'P -1'
_space_group_IT_number 2
loop_
_space_group_symop_operation_xyz
'x,y,z'
'-x,-y,-z'
loop_
_atom_site_label
_atom_site_fract_x
_atom_site_fract_y
_atom_site_fract_z
_atom_site_occupancy
Nd1 0.2210 0.2443 0.3157 1
Be1 0.0000 0.0000 0.0000 1
Ge1 0.5000 0.5000 0.5000 1
Pd1 0.2421 0.6786 0.8349 1
Pd2 0.2498 0.2221 0.7887 1
Pd3 0.2649 0.7788 0.2084 1
```